1.
The following is a calculated powder X-ray diffraction pattern of Pm12TmCo6. It was derived from a structure optimized by DFT (PBE), using Cu Kα (λ = 1.5418 Å).
No peak broadening, texture or thermal motion is included.

Cell and atoms:
```
data_Pm12TmCo6
_space_group_name_H-M_alt 'I m -3'
_space_group_IT_number 204
_space_group_name_Hall '-I 2 2 3'
_cell_length_a 10.0137
_cell_length_b 10.0137
_cell_length_c 10.0137
_cell_angle_alpha 90.00
_cell_angle_beta 90.00
_cell_angle_gamma 90.00
loop_
_atom_site_label
_atom_site_type_symbol
_atom_site_fract_x
_atom_site_fract_y
_atom_site_fract_z
Pm1 Pm 0.0000 0.1947 0.3096
Tm1 Tm 0.0000 0.0000 0.0000
Co1 Co 0.0000 0.3885 0.5000
```

Top 12 peaks for 2θ = 10–90°, in order of rising 2θ:
two_theta	d (Å)	intensity	h k l
28.18	3.167	50	3 1 0
30.93	2.891	52	2 2 2
33.48	2.676	100	3 2 1
35.87	2.503	19	4 0 0
46.23	1.964	29	5 1 0
53.35	1.717	36	5 0 3
55.02	1.669	13	6 0 0
56.66	1.624	39	5 3 2
65.96	1.416	20	5 4 3
80.20	1.197	13	6 3 5
81.57	1.180	18	8 2 2
82.95	1.164	18	7 5 0

***

2.
The following is a calculated powder X-ray diffraction pattern of PmUCo4. It was derived from a structure optimized by DFT (PBE), using Cu Kα (λ = 1.5418 Å).
No peak broadening, texture or thermal motion is included.

Cell and atoms:
```
data_PmUCo4
_space_group_name_H-M_alt 'C 1 2/m 1'
_space_group_IT_number 12
_cell_length_a 9.6896
_cell_length_b 6.1482
_cell_length_c 6.8390
_cell_angle_alpha 90.00
_cell_angle_beta 111.25
_cell_angle_gamma 90.00
loop_
_space_group_symop_operation_xyz
'x,y,z'
'-x,-y,-z'
'-x,y,-z'
'x,-y,z'
'x+1/2,y+1/2,z'
'-x+1/2,-y+1/2,-z'
'-x+1/2,y+1/2,-z'
'x+1/2,-y+1/2,z'
loop_
_atom_site_label
_atom_site_type_symbol
_atom_site_fract_x
_atom_site_fract_y
_atom_site_fract_z
Pm1 Pm 0.1978 0.0000 0.2979
U1 U 0.0329 0.5000 0.2580
Co1 Co 0.0000 0.2007 0.5000
Co2 Co 0.1037 0.2247 0.9173
Co3 Co 0.2379 0.0000 0.7555
```

Top 12 peaks for 2θ = 10–90°, in order of rising 2θ:
two_theta	d (Å)	intensity	h k l
17.45	5.082	48	1 1 0
28.00	3.186	42	0 0 2
29.05	3.074	29	0 2 0
33.13	2.704	56	3 1 0
35.26	2.546	37	2 2 -1
35.89	2.502	62	3 1 -2
36.19	2.482	40	1 1 2
39.81	2.264	24	2 0 -3
40.79	2.212	100	0 2 2
49.48	1.842	21	5 1 -1
54.14	1.694	18	3 3 0
56.04	1.641	18	3 3 -2